Starting from a GGA-PBE-relaxed structure, the powder X-ray diffraction pattern of Ta4Co2Se13 was computed for Cu Kα, 1.54184 Å.
Peak positions follow from Bragg's law for the DFT cell and can differ from measured ones.

The 12 most intense peaks (2θ from 10° to 90°), low angle first:
Position (°2θ)	intensity
12.84	1000
13.51	389
13.87	208
27.79	151
31.93	210
32.83	247
33.63	193
35.15	330
35.62	237
39.85	258
49.57	157
53.69	187

Structural model:
abc: 7.1098 7.1098 19.6470
angles: 107.69 107.69 27.79
Atoms (fractional coordinates):
Ta 0.1301 0.1301 0.1593
Ta 0.2453 0.2453 0.4098
Ta 0.7547 0.7547 0.5902
Ta 0.8699 0.8699 0.8407
Co 0.2687 0.2687 0.7142
Co 0.7313 0.7313 0.2858
Se 0.1074 0.1074 0.2869
Se 0.1260 0.1260 0.6077
Se 0.3054 0.3054 0.9183
Se 0.3129 0.3129 0.2398
Se 0.3667 0.3667 0.5467
Se 0.4777 0.4777 0.1288
Se 0.5000 0.5000 0.0000
Se 0.5223 0.5223 0.8712
Se 0.6333 0.6333 0.4533
Se 0.6871 0.6871 0.7602
Se 0.6946 0.6946 0.0817
Se 0.8740 0.8740 0.3923
Se 0.8926 0.8926 0.7131